(1)
This entry pairs a crystal structure of Ba5Sn2O with its computed powder XRD pattern. Radiation: Cu Kα (weighted mean of Kα1 and Kα2). Structure: a structure optimized by DFT (GGA-PBE).
Kinematic intensities with the Lorentz-polarization factor, no thermal factor.

Largest 8 diffraction maxima, in order of rising 2θ, 2θ from 15° to 90°:
(0 2 4), 2θ = 24.5°, 3.636 Å, intensity 23.9; (1 3 1), 2θ = 25.4°, 3.509 Å, intensity 100.0; (1 3 3), 2θ = 29.5°, 3.032 Å, intensity 32.7; (1 1 5), 2θ = 31.3°, 2.855 Å, intensity 89.9; (2 0 0), 2θ = 31.7°, 2.819 Å, intensity 45.9; (0 4 4), 2θ = 33.2°, 2.698 Å, intensity 54.2; (2 4 4), 2θ = 46.6°, 1.949 Å, intensity 41.4; (1 7 5), 2θ = 55.9°, 1.645 Å, intensity 26.1

Structural model:
a = 5.6371 Å, b = 13.9388 Å, c = 17.0453 Å
α = 90.00°, β = 90.00°, γ = 90.00°
Space group Cmcm (No. 63)
Inequivalent atoms, fractional coordinates:
Ba (0.0000, 0.1117, 0.1299) x8
Ba (0.0000, 0.2513, 0.7500) x4
Ba (0.0000, 0.3869, 0.1306) x8
Sn (0.0000, 0.2500, 0.5447) x8
O (0.0000, 0.2492, 0.2500) x4


(2)
This entry pairs a crystal structure of BaSn2O4 with its computed powder XRD pattern. Radiation: Cu Kα (weighted mean of Kα1 and Kα2). Structure: a structure optimized by DFT (GGA-PBE).
Kinematic intensities with the Lorentz-polarization factor, no thermal factor.

Largest 8 diffraction maxima, in order of rising 2θ, 2θ from 15° to 90°:
(1 1 2), 2θ = 24.9°, 3.583 Å, intensity 28.9; (1 0 3), 2θ = 27.4°, 3.250 Å, intensity 52.2; (2 1 1), 2θ = 31.4°, 2.849 Å, intensity 100.0; (2 0 2), 2θ = 31.5°, 2.840 Å, intensity 52.3; (1 0 5), 2θ = 42.6°, 2.123 Å, intensity 22.3; (3 0 3), 2θ = 48.1°, 1.893 Å, intensity 18.0; (3 2 1), 2θ = 50.6°, 1.803 Å, intensity 22.1; (2 2 4), 2θ = 51.0°, 1.791 Å, intensity 37.6

Structural model:
a = 6.5877 Å, b = 6.5877 Å, c = 11.2106 Å
α = 90.00°, β = 90.00°, γ = 90.00°
Space group I4_1/a (No. 88, origin choice 2)
Inequivalent atoms, fractional coordinates:
Ba (0.0000, 0.2500, 0.1250) x4
Sn (0.0000, 0.0000, 0.5000) x8
O (0.1506, 0.0218, 0.3318) x16


(3)
This entry pairs a crystal structure of BaSn4O8 with its computed powder XRD pattern. Radiation: Cu Kα (weighted mean of Kα1 and Kα2). Structure: a structure optimized by DFT (GGA-PBE).
Kinematic intensities with the Lorentz-polarization factor, no thermal factor.

Largest 8 diffraction maxima, in order of rising 2θ, 2θ from 15° to 90°:
(1 0 1), 2θ = 20.7°, 4.292 Å, intensity 27.5; (0 0 2), 2θ = 24.1°, 3.690 Å, intensity 23.0; (1 1 0), 2θ = 29.3°, 3.046 Å, intensity 100.0; (1 0 2), 2θ = 29.5°, 3.024 Å, intensity 66.9; (2 0 2), 2θ = 42.1°, 2.146 Å, intensity 25.7; (3 0 0), 2θ = 52.0°, 1.758 Å, intensity 30.8; (3 -1 2), 2θ = 52.1°, 1.754 Å, intensity 28.2; (2 -1 4), 2θ = 58.5°, 1.578 Å, intensity 26.5

Structural model:
a = 6.0914 Å, b = 6.0914 Å, c = 7.3798 Å
α = 90.00°, β = 90.00°, γ = 120.00°
Space group P-31m (No. 162)
Inequivalent atoms, fractional coordinates:
Ba (0.0000, 0.0000, 0.0000) x1
Sn (0.3333, 0.6667, 0.2704) x4
O (0.0000, 0.3362, 0.2967) x6
O (0.3333, 0.6667, 0.0000) x2


(4)
This entry pairs a crystal structure of BaSr2Sn3O9 with its computed powder XRD pattern. Radiation: Cu Kα (weighted mean of Kα1 and Kα2). Structure: a structure optimized by DFT (GGA-PBE).
Kinematic intensities with the Lorentz-polarization factor, no thermal factor.

Largest 8 diffraction maxima, in order of rising 2θ, 2θ from 15° to 90°:
(0 2 0), 2θ = 30.4°, 2.937 Å, intensity 19.0; (1 1 4), 2θ = 30.6°, 2.919 Å, intensity 100.0; (2 2 -4), 2θ = 43.7°, 2.071 Å, intensity 24.5; (4 0 4), 2θ = 44.0°, 2.057 Å, intensity 11.4; (3 3 0), 2θ = 54.2°, 1.692 Å, intensity 18.0; (5 1 -4), 2θ = 54.4°, 1.687 Å, intensity 8.3; (6 0 0), 2θ = 54.5°, 1.684 Å, intensity 21.4; (4 0 -8), 2θ = 63.7°, 1.460 Å, intensity 11.1

Structural model:
a = 10.0970 Å, b = 5.8747 Å, c = 14.2735 Å
α = 90.00°, β = 90.25°, γ = 90.00°
Space group C2 (No. 5)
Inequivalent atoms, fractional coordinates:
Ba (0.1669, 0.0000, 0.3329) x4
Sr (0.0000, 0.4983, 0.0000) x2
Sr (0.0000, 0.5102, 0.5000) x2
Sr (0.1672, 0.0131, 0.8356) x4
Sn (0.0005, 0.5032, 0.7524) x4
Sn (0.1665, 0.0018, 0.5842) x4
Sn (0.1662, 0.0046, 0.0819) x4
O (0.0000, 0.0712, 0.5000) x2
O (0.0000, 0.9289, 0.0000) x2
O (0.0532, 0.2478, 0.1529) x4
O (0.0642, 0.7418, 0.6535) x4
O (0.1010, 0.2424, 0.6815) x4
O (0.1102, 0.7413, 0.1723) x4
O (0.1670, 0.4537, 0.3314) x4
O (0.1668, 0.5789, 0.8354) x4
O (0.2185, 0.2630, 0.9884) x4
O (0.2264, 0.7433, 0.4919) x4


(5)
This entry pairs a crystal structure of Ba4SrSn5O15 with its computed powder XRD pattern. Radiation: Cu Kα (weighted mean of Kα1 and Kα2). Structure: a structure optimized by DFT (GGA-PBE).
Kinematic intensities with the Lorentz-polarization factor, no thermal factor.

Largest 8 diffraction maxima, in order of rising 2θ, 2θ from 15° to 90°:
(1 1 0), 2θ = 30.3°, 2.950 Å, intensity 100.0; (1 1 5), 2θ = 37.3°, 2.409 Å, intensity 1.8; (2 0 0), 2θ = 43.4°, 2.086 Å, intensity 30.8; (2 1 5), 2θ = 53.8°, 1.703 Å, intensity 41.3; (2 2 0), 2θ = 63.0°, 1.475 Å, intensity 19.5; (3 1 0), 2θ = 71.5°, 1.319 Å, intensity 18.4; (2 2 10), 2θ = 79.6°, 1.205 Å, intensity 6.6; (3 2 5), 2θ = 87.5°, 1.115 Å, intensity 23.1

Structural model:
a = 4.1727 Å, b = 4.1727 Å, c = 20.8615 Å
α = 90.00°, β = 90.00°, γ = 90.00°
Space group P4/mmm (No. 123)
Inequivalent atoms, fractional coordinates:
Ba (0.0000, 0.0000, 0.1005) x2
Ba (0.0000, 0.0000, 0.3020) x2
Sr (0.0000, 0.0000, 0.5000) x1
Sn (0.5000, 0.5000, 0.0000) x1
Sn (0.5000, 0.5000, 0.2010) x2
Sn (0.5000, 0.5000, 0.4020) x2
O (0.0000, 0.5000, 0.0000) x2
O (0.0000, 0.5000, 0.2015) x4
O (0.0000, 0.5000, 0.4041) x4
O (0.5000, 0.5000, 0.1006) x2
O (0.5000, 0.5000, 0.3017) x2
O (0.5000, 0.5000, 0.5000) x1


(6)
This entry pairs a crystal structure of Ba4SrSn5O15 with its computed powder XRD pattern. Radiation: Cu Kα (weighted mean of Kα1 and Kα2). Structure: a structure optimized by DFT (GGA-PBE).
Kinematic intensities with the Lorentz-polarization factor, no thermal factor.

Largest 8 diffraction maxima, in order of rising 2θ, 2θ from 15° to 90°:
(1 1 0), 2θ = 30.3°, 2.950 Å, intensity 100.0; (0 2 10), 2θ = 43.4°, 2.086 Å, intensity 30.8; (3 0 0), 2θ = 53.8°, 1.703 Å, intensity 41.3; (2 2 0), 2θ = 63.0°, 1.475 Å, intensity 19.5; (1 3 10), 2θ = 71.5°, 1.319 Å, intensity 18.5; (4 0 10), 2θ = 79.6°, 1.205 Å, intensity 5.0; (4 1 0), 2θ = 87.5°, 1.115 Å, intensity 17.4; (1 1 30), 2θ = 87.6°, 1.114 Å, intensity 5.8

Structural model:
a = 5.9024 Å, b = 5.9024 Å, c = 36.1009 Å
α = 90.00°, β = 90.00°, γ = 120.00°
Space group R-3m (No. 166, hexagonal axes)
Inequivalent atoms, fractional coordinates:
Ba (0.0000, 0.0000, 0.1006) x6
Ba (0.0000, 0.0000, 0.3000) x6
Sr (0.0000, 0.0000, 0.5000) x3
Sn (0.0000, 0.0000, 0.0000) x3
Sn (0.0000, 0.0000, 0.1997) x6
Sn (0.0000, 0.0000, 0.4005) x6
O (0.0004, 0.5002, 0.2999) x18
O (0.0000, 0.5000, 0.5000) x9
O (0.0040, 0.5020, 0.1012) x18


(7)
This entry pairs a crystal structure of BaTa2SnO7 with its computed powder XRD pattern. Radiation: Cu Kα (weighted mean of Kα1 and Kα2). Structure: a structure optimized by DFT (GGA-PBE).
Kinematic intensities with the Lorentz-polarization factor, no thermal factor.

Largest 8 diffraction maxima, in order of rising 2θ, 2θ from 15° to 90°:
(1 0 1), 2θ = 22.5°, 3.956 Å, intensity 51.5; (1 0 3), 2θ = 25.4°, 3.501 Å, intensity 67.7; (1 0 5), 2θ = 30.6°, 2.923 Å, intensity 100.0; (1 1 0), 2θ = 31.4°, 2.847 Å, intensity 27.8; (1 1 2), 2θ = 32.6°, 2.750 Å, intensity 43.0; (2 0 0), 2θ = 45.0°, 2.013 Å, intensity 43.7; (1 1 10), 2θ = 53.8°, 1.703 Å, intensity 35.6; (2 1 5), 2θ = 55.4°, 1.658 Å, intensity 39.6

Structural model:
a = 4.0266 Å, b = 4.0266 Å, c = 21.2516 Å
α = 90.00°, β = 90.00°, γ = 90.00°
Space group I-4m2 (No. 119)
Inequivalent atoms, fractional coordinates:
Ba (0.0000, 0.0000, 0.0000) x2
Ta (0.0000, 0.0000, 0.3981) x4
Sn (0.0000, 0.5000, 0.2500) x2
O (0.0000, 0.0000, 0.3082) x4
O (0.0000, 0.0000, 0.5000) x2
O (0.0000, 0.5000, 0.0964) x4
O (0.0000, 0.5000, 0.5927) x4


(8)
This entry pairs a crystal structure of Ba3TlSn2O9 with its computed powder XRD pattern. Radiation: Cu Kα (weighted mean of Kα1 and Kα2). Structure: a structure optimized by DFT (GGA-PBE).
Kinematic intensities with the Lorentz-polarization factor, no thermal factor.

Largest 8 diffraction maxima, in order of rising 2θ, 2θ from 15° to 90°:
(0 1 2), 2θ = 29.5°, 3.026 Å, intensity 100.0; (1 1 0), 2θ = 29.7°, 3.012 Å, intensity 99.0; (2 0 2), 2θ = 42.3°, 2.135 Å, intensity 58.3; (1 0 4), 2θ = 52.3°, 1.750 Å, intensity 21.5; (3 0 0), 2θ = 52.6°, 1.741 Å, intensity 61.7; (0 2 4), 2θ = 61.3°, 1.513 Å, intensity 18.9; (2 1 4), 2θ = 69.5°, 1.352 Å, intensity 19.0; (4 1 0), 2θ = 85.2°, 1.139 Å, intensity 22.5

Structural model:
a = 6.0234 Å, b = 6.0234 Å, c = 7.4285 Å
α = 90.00°, β = 90.00°, γ = 120.00°
Space group P-3m1 (No. 164)
Inequivalent atoms, fractional coordinates:
Ba (0.0000, 0.0000, 0.0000) x1
Ba (0.3333, 0.6667, 0.6603) x2
Tl (0.0000, 0.0000, 0.5000) x1
Sn (0.3333, 0.6667, 0.1587) x2
O (0.0000, 0.5000, 0.0000) x3
O (0.1734, 0.3468, 0.3234) x6


(9)
This entry pairs a crystal structure of Ba2Tl2Zn2Sn3O10 with its computed powder XRD pattern. Radiation: Cu Kα (weighted mean of Kα1 and Kα2). Structure: a structure optimized by DFT (GGA-PBE).
Kinematic intensities with the Lorentz-polarization factor, no thermal factor.

Largest 8 diffraction maxima, in order of rising 2θ, 2θ from 15° to 90°:
(1 0 -4), 2θ = 26.7°, 3.334 Å, intensity 41.7; (1 0 4), 2θ = 29.6°, 3.015 Å, intensity 100.0; (0 1 -5), 2θ = 30.4°, 2.941 Å, intensity 62.3; (-1 1 1), 2θ = 30.5°, 2.931 Å, intensity 41.7; (1 1 -1), 2θ = 30.7°, 2.915 Å, intensity 34.9; (1 1 0), 2θ = 30.8°, 2.906 Å, intensity 39.6; (0 1 5), 2θ = 31.5°, 2.836 Å, intensity 56.8; (2 0 -1), 2θ = 44.1°, 2.056 Å, intensity 40.9

Structural model:
a = 4.1114 Å, b = 4.1831 Å, c = 20.0664 Å
α = 91.99°, β = 95.68°, γ = 90.52°
Space group P1 (No. 1)
Inequivalent atoms, fractional coordinates:
Ba (0.0000, 0.0000, 0.0000) x1
Ba (0.3299, 0.5675, 0.6399) x1
Tl (0.4349, 0.6682, 0.8689) x1
Tl (0.8895, 0.1017, 0.7768) x1
Zn (0.1226, 0.5992, 0.2515) x1
Zn (0.1570, 0.6761, 0.4432) x1
Sn (0.5868, 0.0744, 0.1777) x1
Sn (0.6610, 0.2122, 0.3407) x1
Sn (0.7814, 0.0472, 0.5290) x1
O (0.1035, 0.0692, 0.2127) x1
O (0.1751, 0.4750, 0.3524) x1
O (0.2840, 0.9934, 0.5186) x1
O (0.3827, 0.4181, 0.7625) x1
O (0.5395, 0.0586, 0.0804) x1
O (0.6037, 0.5828, 0.2126) x1
O (0.7312, 0.9507, 0.4232) x1
O (0.8248, 0.0592, 0.6304) x1
O (0.8417, 0.5298, 0.5179) x1
O (0.9600, 0.4715, 0.9256) x1